# 1
The following is a calculated PXRD pattern of Li4Mn3Nb3Fe2O16. It was derived from a cell relaxed with PBE+U, using Cu Ka.
Kinematic intensities with the Lorentz-polarization factor, no thermal factor.

Main lines, low angle first (5 to 70 degrees two-theta):
2θ = 18.0°, I 100; 2θ = 18.4°, I 40; 2θ = 18.9°, I 55; 2θ = 34.0°, I 29; 2θ = 34.7°, I 39; 2θ = 35.4°, I 30; 2θ = 43.6°, I 32; 2θ = 59.6°, I 34

Structural model:
Unit cell a=6.034 b=6.208 c=9.846 alpha=87.92 beta=89.93 gamma=60.93
Sites, in units of the cell vectors:
Li 0.000 0.000 0.000
Li 0.012 0.975 0.514
Li 0.336 0.328 0.615
Li 0.669 0.661 0.102
Mn 0.168 0.663 0.288
Mn 0.339 0.830 0.789
Mn 0.830 0.830 0.789
Nb 0.166 0.172 0.287
Nb 0.661 0.172 0.287
Nb 0.829 0.343 0.783
Fe 0.321 0.358 0.999
Fe 0.651 0.697 0.523
O 0.000 0.000 0.699
O 0.040 0.470 0.164
O 0.137 0.206 0.906
O 0.154 0.691 0.901
O 0.322 0.855 0.404
O 0.347 0.306 0.402
O 0.483 0.033 0.171
O 0.490 0.470 0.164
O 0.521 0.957 0.675
O 0.530 0.505 0.655
O 0.657 0.205 0.906
O 0.664 0.672 0.893
O 0.824 0.855 0.404
O 0.845 0.310 0.397
O 0.964 0.506 0.655
O 0.992 0.017 0.184

# 2
The following is a calculated PXRD pattern of Li4Mn3Nb3Fe2O16. It was derived from a cell relaxed with PBE+U, using Cu Ka.
Kinematic intensities with the Lorentz-polarization factor, no thermal factor.

Main lines, low angle first (5 to 70 degrees two-theta):
2θ = 18.1°, I 100; 2θ = 18.2°, I 47; 2θ = 18.6°, I 29; 2θ = 19.1°, I 29; 2θ = 33.7°, I 24; 2θ = 34.5°, I 45; 2θ = 34.7°, I 31; 2θ = 35.1°, I 33

Structural model:
Unit cell a=6.117 b=6.244 c=9.807 alpha=92.17 beta=90.51 gamma=118.88
Sites, in units of the cell vectors:
Li 0.000 0.000 0.000
Li 0.018 0.037 0.517
Li 0.349 0.681 0.616
Li 0.681 0.351 0.099
Mn 0.178 0.348 0.290
Mn 0.340 0.162 0.794
Mn 0.837 0.174 0.793
Nb 0.173 0.838 0.289
Nb 0.668 0.839 0.286
Nb 0.826 0.657 0.783
Fe 0.317 0.644 0.998
Fe 0.656 0.296 0.529
O 0.052 0.551 0.162
O 0.142 0.316 0.912
O 0.149 0.807 0.904
O 0.333 0.151 0.408
O 0.359 0.706 0.401
O 0.487 0.977 0.172
O 0.502 0.549 0.160
O 0.535 0.490 0.651
O 0.547 0.044 0.662
O 0.650 0.791 0.906
O 0.697 0.352 0.897
O 0.826 0.155 0.403
O 0.855 0.703 0.395
O 0.969 0.502 0.652
O 0.976 0.989 0.700
O 0.997 0.991 0.186

# 3
The following is a calculated PXRD pattern of Li4Mn2Fe3Ni3O16. It was derived from a cell relaxed with PBE+U, using Cu Ka.
Kinematic intensities with the Lorentz-polarization factor, no thermal factor.

Main lines, low angle first (5 to 70 degrees two-theta):
2θ = 18.9°, I 100; 2θ = 20.0°, I 55; 2θ = 20.2°, I 80; 2θ = 35.9°, I 45; 2θ = 37.0°, I 47; 2θ = 46.1°, I 37; 2θ = 46.8°, I 47; 2θ = 63.9°, I 42

Structural model:
Unit cell a=5.831 b=5.831 c=9.378 alpha=91.49 beta=91.49 gamma=59.21
Sites, in units of the cell vectors:
Li 0.000 0.000 0.000
Li 0.001 0.001 0.503
Li 0.336 0.336 0.599
Li 0.664 0.664 0.094
Mn 0.326 0.326 0.008
Mn 0.665 0.665 0.511
Fe 0.167 0.658 0.282
Fe 0.658 0.167 0.282
Fe 0.828 0.828 0.781
Ni 0.168 0.168 0.284
Ni 0.338 0.830 0.782
Ni 0.830 0.338 0.782
O 0.004 0.004 0.691
O 0.005 0.005 0.191
O 0.037 0.479 0.146
O 0.153 0.659 0.899
O 0.159 0.159 0.900
O 0.326 0.326 0.389
O 0.334 0.826 0.402
O 0.477 0.477 0.147
O 0.479 0.037 0.146
O 0.522 0.522 0.651
O 0.529 0.963 0.648
O 0.659 0.153 0.899
O 0.659 0.659 0.884
O 0.826 0.334 0.402
O 0.828 0.828 0.395
O 0.963 0.529 0.648

# 4
The following is a calculated PXRD pattern of Li10Mn2Fe3Ni3O16. It was derived from a cell relaxed with PBE+U, using Cu Ka.
Kinematic intensities with the Lorentz-polarization factor, no thermal factor.

Main lines, low angle first (5 to 70 degrees two-theta):
2θ = 18.1°, I 100; 2θ = 19.4°, I 87; 2θ = 19.5°, I 59; 2θ = 35.1°, I 66; 2θ = 36.0°, I 60; 2θ = 44.5°, I 98; 2θ = 44.9°, I 66; 2θ = 62.4°, I 59

Structural model:
Unit cell a=5.952 b=5.952 c=9.787 alpha=90.72 beta=90.72 gamma=60.35
Sites, in units of the cell vectors:
Li 0.000 0.000 0.000
Li 0.000 0.000 0.496
Li 0.201 0.201 0.428
Li 0.204 0.612 0.425
Li 0.332 0.332 0.209
Li 0.393 0.809 0.937
Li 0.612 0.204 0.425
Li 0.662 0.662 0.708
Li 0.806 0.806 0.931
Li 0.809 0.393 0.937
Mn 0.331 0.331 0.955
Mn 0.665 0.665 0.452
Fe 0.169 0.657 0.698
Fe 0.657 0.169 0.698
Fe 0.827 0.827 0.200
Ni 0.165 0.165 0.698
Ni 0.339 0.833 0.197
Ni 0.833 0.339 0.197
O 0.028 0.487 0.827
O 0.167 0.656 0.068
O 0.172 0.172 0.062
O 0.332 0.820 0.578
O 0.335 0.335 0.580
O 0.486 0.486 0.828
O 0.487 0.028 0.827
O 0.508 0.999 0.318
O 0.517 0.517 0.328
O 0.656 0.167 0.068
O 0.671 0.671 0.078
O 0.820 0.332 0.578
O 0.827 0.827 0.577
O 0.991 0.991 0.809
O 0.997 0.997 0.303
O 0.999 0.508 0.318